# Tb3Ag4Ge4
Calculated powder XRD pattern, Cu Kα, 1.54184 Å. Input: DFT lattice parameters and positions (GGA-PBE).
Kinematic intensities with the Lorentz-polarization factor, no thermal factor.

Structural model:
Cell lengths 4.357, 7.146, 14.560 Å; angles 90.00, 90.00, 90.00 degrees
Space group Immm (No. 71)
One atom of each set of equivalent atoms:
Tb (0.000, 0.000, 0.000)
Tb (0.000, 0.500, 0.126)
Ag (0.000, 0.302, 0.330)
Ge (0.000, 0.000, 0.216)
Ge (0.000, 0.184, 0.500)

Principal peaks in the range 10 to 90 degrees two-theta, most intense first:
(1 2 1), 33.00°, intensity 100; (1 1 4), 34.47°, intensity 92; (2 0 0), 41.45°, intensity 42; (0 3 3), 42.27°, intensity 35; (0 1 5), 33.22°, intensity 29; (0 0 6), 37.07°, intensity 29; (1 2 3), 37.46°, intensity 26; (2 3 3), 60.69°, intensity 23; (2 0 6), 56.78°, intensity 19; (1 5 4), 74.59°, intensity 17

# Pr4I2BrNCl2
Calculated powder XRD pattern, Cu Kα, 1.54184 Å. Input: DFT lattice parameters and positions (GGA-PBE).
Kinematic intensities with the Lorentz-polarization factor, no thermal factor.

Structural model:
Cell lengths 18.788, 3.942, 8.401 Å; angles 90.00, 100.79, 90.00 degrees
Space group C2/m (No. 12)
One atom of each set of equivalent atoms:
Pr (0.002, 0.000, 0.297)
Pr (0.134, 0.500, 0.568)
I (0.175, 0.000, 0.298)
Br (0.000, 0.500, 0.000)
N (0.000, 0.500, 0.500)
Cl (0.150, 0.000, 0.819)

Principal peaks in the range 10 to 90 degrees two-theta, most intense first:
(1 1 -2), 31.12°, intensity 100; (0 0 1), 10.72°, intensity 72; (6 0 0), 29.03°, intensity 44; (5 1 2), 42.50°, intensity 26; (5 1 -1), 33.55°, intensity 26; (5 1 0), 33.25°, intensity 25; (6 0 -2), 32.91°, intensity 23; (7 1 -2), 43.65°, intensity 21; (0 2 0), 46.05°, intensity 19; (4 0 1), 23.79°, intensity 17